Diffraction record for NaPrHo4Se8. The powder X-ray diffraction pattern is calculated, not measured: it uses DFT lattice parameters and positions (PBE) and Cu Kα, 1.54184 Å.

Atomic structure:
```
data_NaPrHo4Se8
_chemical_formula_sum 'Na3 Pr3 Ho12 Se24'
_space_group_name_H-M_alt 'R 3 m'
_space_group_IT_number 160
_space_group_name_Hall 'R 3 -2"'
_cell_length_a 8.4352
_cell_length_b 8.4352
_cell_length_c 21.1069
_cell_angle_alpha 90.00
_cell_angle_beta 90.00
_cell_angle_gamma 120.00
loop_
_atom_site_label
_atom_site_type_symbol
_atom_site_fract_x
_atom_site_fract_y
_atom_site_fract_z
Na1 Na 0.0000 0.0000 0.0000
Pr1 Pr 0.0000 0.0000 0.6321
Ho1 Ho 0.0000 0.0000 0.2542
Ho2 Ho 0.1732 0.3465 0.4596
Se1 Se 0.0000 0.0000 0.3862
Se2 Se 0.0000 0.0000 0.8668
Se3 Se 0.0206 0.5103 0.3849
Se4 Se 0.1738 0.3475 0.2054
```

The 8 most intense peaks (10° ≤ 2θ ≤ 90°), in order of rising 2θ:
two_theta  I/Imax
12.82  32
24.35  26
24.61  54
24.74  29
29.75  100
38.98  25
42.26  66
42.89  66

=====

Diffraction record for Na2HoSbS4. The powder X-ray diffraction pattern is calculated, not measured: it uses DFT lattice parameters and positions (PBE) and Cu Kα, 1.54184 Å.

Atomic structure:
```
data_Na2HoSbS4
_chemical_formula_sum 'Na2 Ho1 Sb1 S4'
_space_group_name_H-M_alt 'P 1 2/m 1'
_space_group_IT_number 10
_cell_length_a 6.934
_cell_length_b 3.976
_cell_length_c 7.067
_cell_angle_alpha 90.00
_cell_angle_beta 108.88
_cell_angle_gamma 90.00
loop_
_space_group_symop_operation_xyz
'x,y,z'
'-x,-y,-z'
'-x,y,-z'
'x,-y,z'
loop_
_atom_site_label
_atom_site_type_symbol
_atom_site_fract_x
_atom_site_fract_y
_atom_site_fract_z
Na1 Na 0.000 0.000 0.000
Na2 Na 0.500 0.500 0.000
Ho1 Ho 0.000 0.500 0.500
Sb1 Sb 0.500 0.000 0.500
S1 S 0.240 0.000 0.726
S2 S 0.254 0.500 0.271
```

The 8 most intense peaks (10° ≤ 2θ ≤ 90°), in order of rising 2θ:
two_theta  I/Imax
13.24  78
26.10  13
26.21  26
27.36  17
31.44  100
40.91  17
44.72  23
45.39  23

=====

Diffraction record for Na3HoSn3S8. The powder X-ray diffraction pattern is calculated, not measured: it uses DFT lattice parameters and positions (PBE) and Cu Kα, 1.54184 Å.

Atomic structure:
```
data_Na3HoSn3S8
_chemical_formula_sum 'Na6 Ho2 Sn6 S16'
_space_group_name_H-M_alt 'C 1 2/m 1'
_space_group_IT_number 12
_cell_length_a 13.436
_cell_length_b 7.760
_cell_length_c 8.178
_cell_angle_alpha 90.00
_cell_angle_beta 123.26
_cell_angle_gamma 90.00
loop_
_space_group_symop_operation_xyz
'x,y,z'
'-x,-y,-z'
'-x,y,-z'
'x,-y,z'
'x+1/2,y+1/2,z'
'-x+1/2,-y+1/2,-z'
'-x+1/2,y+1/2,-z'
'x+1/2,-y+1/2,z'
loop_
_atom_site_label
_atom_site_type_symbol
_atom_site_fract_x
_atom_site_fract_y
_atom_site_fract_z
Na1 Na 0.000 0.000 0.000
Na2 Na 0.250 0.250 0.000
Ho1 Ho 0.000 0.000 0.500
Sn1 Sn 0.000 0.500 0.500
Sn2 Sn 0.250 0.250 0.500
S1 S 0.012 0.253 0.281
S2 S 0.242 0.000 0.718
S3 S 0.242 0.500 0.726
```

The 8 most intense peaks (10° ≤ 2θ ≤ 90°), in order of rising 2θ:
two_theta  I/Imax
12.94  96
26.89  39
27.95  20
31.84  100
40.86  22
44.44  37
46.84  34
48.80  21

=====

Diffraction record for Na4HoZr3S8. The powder X-ray diffraction pattern is calculated, not measured: it uses DFT lattice parameters and positions (PBE) and Cu Kα, 1.54184 Å.

Atomic structure:
```
data_Na4HoZr3S8
_chemical_formula_sum 'Na12 Ho3 Zr9 S24'
_space_group_name_H-M_alt 'R -3 m'
_space_group_IT_number 166
_space_group_name_Hall '-R 3 2"'
_cell_length_a 7.5101
_cell_length_b 7.5101
_cell_length_c 20.3737
_cell_angle_alpha 90.00
_cell_angle_beta 90.00
_cell_angle_gamma 120.00
loop_
_atom_site_label
_atom_site_type_symbol
_atom_site_fract_x
_atom_site_fract_y
_atom_site_fract_z
Na1 Na 0.0000 0.0000 0.0000
Na2 Na 0.0000 0.5000 0.0000
Ho1 Ho 0.0000 0.0000 0.5000
Zr1 Zr 0.0000 0.5000 0.5000
S1 S 0.0000 0.0000 0.2413
S2 S 0.0082 0.5041 0.7578
```

The 8 most intense peaks (10° ≤ 2θ ≤ 90°), in order of rising 2θ:
two_theta  I/Imax
13.04  71
27.78  26
28.82  16
32.67  100
41.64  15
45.22  37
48.49  32
59.70  16